1.
Structure and calculated PXRD pattern of Pr6Cd4Pd13 (a DFT-relaxed cell (GGA-PBE, Alexandria); λ = 1.5418 Å (Cu Kα)).
Peak positions follow from Bragg's law for the DFT cell and can differ from measured ones.

Largest 8 diffraction maxima, low angle first, 2θ from 10° to 80°:
2θ/deg, Rel. int.
28.50, 23
31.28, 15
33.86, 9
36.28, 14
38.56, 100
40.74, 11
62.16, 9
69.77, 30

Atomic structure:
Cell lengths 9.9051, 9.9051, 9.9051 Å; angles 90.00, 90.00, 90.00 degrees
Space group Im-3m (No. 229)
Inequivalent atoms, fractional coordinates:
Pr 0.0000 0.0000 0.3019
Cd 0.2500 0.2500 0.2500
Pd 0.0000 0.0000 0.0000
Pd 0.0000 0.3409 0.3409

2.
Structure and calculated PXRD pattern of Pr2PuCd2Pd5 (a DFT-relaxed cell (GGA-PBE, Alexandria); λ = 1.5418 Å (Cu Kα)).
Peak positions follow from Bragg's law for the DFT cell and can differ from measured ones.

Largest 8 diffraction maxima, low angle first, 2θ from 10° to 80°:
2θ/deg, Rel. int.
26.89, 11
33.10, 27
35.30, 100
38.40, 25
45.81, 16
59.12, 11
72.71, 11
77.86, 11

Atomic structure:
Cell lengths 10.4853, 10.4853, 3.9614 Å; angles 90.00, 90.00, 90.00 degrees
Space group P4/mbm (No. 127)
Inequivalent atoms, fractional coordinates:
Pr 0.1722 0.3278 0.0000
Pu 0.0000 0.0000 0.0000
Cd 0.1261 0.6261 0.0000
Pd 0.0000 0.5000 0.5000
Pd 0.0411 0.7963 0.5000

3.
Structure and calculated PXRD pattern of PrTlCdPd (a DFT-relaxed cell (GGA-PBE, Alexandria); λ = 1.5418 Å (Cu Kα)).
Peak positions follow from Bragg's law for the DFT cell and can differ from measured ones.

Largest 8 diffraction maxima, low angle first, 2θ from 10° to 80°:
2θ/deg, Rel. int.
21.27, 6
35.08, 100
41.39, 4
50.45, 18
55.35, 2
62.93, 36
74.13, 11
78.15, 1

Atomic structure:
Cell lengths 7.2353, 7.2353, 7.2353 Å; angles 90.00, 90.00, 90.00 degrees
Space group F-43m (No. 216)
Inequivalent atoms, fractional coordinates:
Pr 0.0000 0.0000 0.0000
Tl 0.2500 0.2500 0.2500
Cd 0.0000 0.0000 0.5000
Pd 0.2500 0.2500 0.7500

4.
Structure and calculated PXRD pattern of PrZnCd2Pd2 (a DFT-relaxed cell (GGA-PBE, Alexandria); λ = 1.5418 Å (Cu Kα)).
Peak positions follow from Bragg's law for the DFT cell and can differ from measured ones.

Largest 8 diffraction maxima, low angle first, 2θ from 10° to 80°:
2θ/deg, Rel. int.
16.86, 33
23.64, 23
29.18, 36
33.68, 100
34.11, 45
48.38, 35
48.69, 64
60.51, 33

Atomic structure:
Cell lengths 5.3217, 5.3217, 10.5145 Å; angles 90.00, 90.00, 90.00 degrees
Space group I4/mmm (No. 139)
Inequivalent atoms, fractional coordinates:
Pr 0.0000 0.0000 0.0000
Zn 0.0000 0.0000 0.5000
Cd 0.0000 0.5000 0.2500
Pd 0.0000 0.0000 0.2697

5.
Structure and calculated PXRD pattern of Pr2ZnCd2Pd5 (a DFT-relaxed cell (GGA-PBE, Alexandria); λ = 1.5418 Å (Cu Kα)).
Peak positions follow from Bragg's law for the DFT cell and can differ from measured ones.

Largest 8 diffraction maxima, low angle first, 2θ from 10° to 80°:
2θ/deg, Rel. int.
34.52, 17
35.06, 31
36.12, 43
36.63, 100
39.60, 22
42.40, 24
50.41, 20
63.57, 16

Atomic structure:
Cell lengths 10.5514, 10.5514, 3.6204 Å; angles 90.00, 90.00, 90.00 degrees
Space group P4/mbm (No. 127)
Inequivalent atoms, fractional coordinates:
Pr 0.1693 0.3307 0.0000
Zn 0.0000 0.0000 0.0000
Cd 0.1326 0.6326 0.0000
Pd 0.0000 0.5000 0.5000
Pd 0.0433 0.8118 0.5000

6.
Structure and calculated PXRD pattern of CdPd4Pt3 (a DFT-relaxed cell (GGA-PBE, Alexandria); λ = 1.5418 Å (Cu Kα)).
Peak positions follow from Bragg's law for the DFT cell and can differ from measured ones.

Largest 8 diffraction maxima, low angle first, 2θ from 10° to 80°:
2θ/deg, Rel. int.
38.95, 34
39.12, 100
44.97, 45
46.35, 21
65.39, 7
78.79, 8
78.97, 8
79.04, 13

Atomic structure:
Cell lengths 4.0313, 4.8476, 7.4662 Å; angles 88.51, 74.38, 65.61 degrees
Space group P-1 (No. 2)
Inequivalent atoms, fractional coordinates:
Cd 0.0000 0.0000 0.0000
Pd 0.1286 0.1194 0.6237
Pd 0.3787 0.3712 0.8715
Pt 0.2413 0.2624 0.2563
Pt 0.5000 0.5000 0.5000

7.
Structure and calculated PXRD pattern of CdPd3Pt6 (a DFT-relaxed cell (GGA-PBE, Alexandria); λ = 1.5418 Å (Cu Kα)).
Peak positions follow from Bragg's law for the DFT cell and can differ from measured ones.

Largest 8 diffraction maxima, low angle first, 2θ from 10° to 80°:
2θ/deg, Rel. int.
22.25, 5
39.10, 100
45.40, 33
45.59, 16
66.19, 16
66.33, 16
79.62, 25
79.89, 13

Atomic structure:
Cell lengths 8.9110, 3.9939, 8.9231 Å; angles 90.00, 90.24, 90.00 degrees
Space group P2_1/m (No. 11)
Inequivalent atoms, fractional coordinates:
Cd 0.1035 0.2500 0.0531
Pd 0.1031 0.7500 0.5500
Pd 0.3024 0.2500 0.6509
Pd 0.4996 0.2500 0.2518
Pt 0.0035 0.2500 0.7442
Pt 0.2003 0.2500 0.3545
Pt 0.2041 0.7500 0.8479
Pt 0.3005 0.7500 0.1544
Pt 0.4009 0.7500 0.4502
Pt 0.4035 0.2500 0.9504

8.
Structure and calculated PXRD pattern of Cd2PdPt8 (a DFT-relaxed cell (GGA-PBE, Alexandria); λ = 1.5418 Å (Cu Kα)).
Peak positions follow from Bragg's law for the DFT cell and can differ from measured ones.

Largest 8 diffraction maxima, low angle first, 2θ from 10° to 80°:
2θ/deg, Rel. int.
39.32, 100
43.27, 20
46.18, 15
47.64, 13
65.13, 11
66.30, 10
68.52, 8
76.71, 14

Atomic structure:
Cell lengths 4.1822, 11.7943, 7.6352 Å; angles 90.00, 90.00, 90.00 degrees
Space group Imm2 (No. 44)
Inequivalent atoms, fractional coordinates:
Cd 0.0000 0.1531 0.0000
Pd 0.0000 0.5000 0.0509
Pt 0.0000 0.0000 0.2883
Pt 0.0000 0.1641 0.5364
Pt 0.0000 0.3203 0.2664
Pt 0.0000 0.3440 0.7738
Pt 0.0000 0.5000 0.5016

9.
Structure and calculated PXRD pattern of CdPdPt5 (a DFT-relaxed cell (GGA-PBE, Alexandria); λ = 1.5418 Å (Cu Kα)).
Peak positions follow from Bragg's law for the DFT cell and can differ from measured ones.

Largest 8 diffraction maxima, low angle first, 2θ from 10° to 80°:
2θ/deg, Rel. int.
22.65, 9
25.33, 8
32.20, 8
34.23, 14
39.73, 100
46.20, 49
67.40, 30
68.63, 5

Atomic structure:
Cell lengths 3.9318, 3.9318, 7.8523 Å; angles 90.00, 90.00, 90.00 degrees
Space group P4/mmm (No. 123)
Inequivalent atoms, fractional coordinates:
Cd 0.0000 0.0000 0.0000
Pd 0.0000 0.0000 0.5000
Pt 0.0000 0.5000 0.2672
Pt 0.5000 0.5000 0.0000

10.
Structure and calculated PXRD pattern of Cd2Pd2Pt5 (a DFT-relaxed cell (GGA-PBE, Alexandria); λ = 1.5418 Å (Cu Kα)).
Peak positions follow from Bragg's law for the DFT cell and can differ from measured ones.

Largest 8 diffraction maxima, low angle first, 2θ from 10° to 80°:
2θ/deg, Rel. int.
38.47, 100
38.62, 99
38.77, 98
38.90, 97
44.46, 67
45.11, 64
45.37, 63
65.00, 43

Atomic structure:
Cell lengths 4.8951, 4.9913, 6.3524 Å; angles 75.07, 82.40, 80.86 degrees
Space group P-1 (No. 2)
Inequivalent atoms, fractional coordinates:
Cd 0.1757 0.3384 0.1684
Pd 0.3851 0.4407 0.7171
Pt 0.0564 0.7847 0.3855
Pt 0.2753 0.8957 0.9374
Pt 0.5000 0.0000 0.5000

11.
Structure and calculated PXRD pattern of Cd2Pd9Pt (a DFT-relaxed cell (GGA-PBE, Alexandria); λ = 1.5418 Å (Cu Kα)).
Peak positions follow from Bragg's law for the DFT cell and can differ from measured ones.

Largest 8 diffraction maxima, low angle first, 2θ from 10° to 80°:
2θ/deg, Rel. int.
14.63, 1
38.97, 100
44.92, 16
45.51, 32
65.86, 21
66.32, 10
78.83, 12
79.68, 24

Atomic structure:
Cell lengths 3.9865, 3.9865, 12.1081 Å; angles 90.00, 90.00, 90.00 degrees
Space group P4/mmm (No. 123)
Inequivalent atoms, fractional coordinates:
Cd 0.0000 0.0000 0.1684
Pd 0.0000 0.5000 0.0000
Pd 0.0000 0.5000 0.3381
Pd 0.5000 0.5000 0.1695
Pd 0.5000 0.5000 0.5000
Pt 0.0000 0.0000 0.5000

12.
Structure and calculated PXRD pattern of Cd3Pd4Pt (a DFT-relaxed cell (GGA-PBE, Alexandria); λ = 1.5418 Å (Cu Kα)).
Peak positions follow from Bragg's law for the DFT cell and can differ from measured ones.

Largest 8 diffraction maxima, low angle first, 2θ from 10° to 80°:
2θ/deg, Rel. int.
38.40, 100
42.04, 19
42.75, 18
48.86, 13
61.51, 12
66.91, 10
74.39, 13
75.38, 13

Atomic structure:
Cell lengths 3.7279, 4.2305, 8.5969 Å; angles 90.00, 90.00, 90.00 degrees
Space group Pmmm (No. 47)
Inequivalent atoms, fractional coordinates:
Cd 0.0000 0.0000 0.0000
Cd 0.0000 0.5000 0.2595
Pd 0.5000 0.0000 0.2512
Pd 0.5000 0.5000 0.0000
Pd 0.5000 0.5000 0.5000
Pt 0.0000 0.0000 0.5000

Question: What is the formula in the fifth record?
Answer: Pr2ZnCd2Pd5

Question: Number 12 is which compound?
Answer: Cd3Pd4Pt